(1)
Starting from a crystal structure in the Materials Project, relaxed with GGA-PBE, the X-ray powder pattern of Y2Al3Si2 was calculated for Cu Kα (weighted mean of Kα1 and Kα2).

```
Y2Al3Si2
1.0
10.2216 0.0000 0.0000
0.0000 4.0393 0.0000
-1.2763 0.0000 6.5163
Y Al Si
4 6 4
Direct
0.1201 0.0000 0.3224
0.3799 0.5000 0.6776
0.6201 0.5000 0.3224
0.8799 0.0000 0.6776
0.0000 0.5000 0.0000
0.1944 0.0000 0.8666
0.3056 0.5000 0.1334
0.5000 0.0000 0.0000
0.6944 0.5000 0.8666
0.8056 0.0000 0.1334
0.0927 0.5000 0.6406
0.4073 0.0000 0.3594
0.5927 0.0000 0.6406
0.9073 0.5000 0.3594
```

Peak list (10 most intense, 15 to 90 degrees two-theta, low angle first)
| Position (°2θ) | I_rel |
| --- | --- |
| 23.75 | 20 |
| 24.39 | 22 |
| 28.31 | 45 |
| 34.83 | 42 |
| 35.18 | 100 |
| 35.56 | 51 |
| 35.81 | 37 |
| 39.48 | 38 |
| 40.98 | 25 |
| 44.88 | 32 |

=====

(2)
Starting from a crystal structure in the Materials Project, relaxed with GGA-PBE, the X-ray powder pattern of Y12Al7Si was calculated for Cu Kα (weighted mean of Kα1 and Kα2).

```
Y12Al7Si
1.0
-5.8527 5.8527 7.6083
5.8527 -5.8527 7.6083
5.8527 5.8527 -7.6083
Y Al Si
24 14 2
Direct
0.0641 0.9277 0.2656
0.0723 0.3379 0.1364
0.1468 0.6468 0.5000
0.1621 0.4277 0.8636
0.1705 0.3295 0.5000
0.2015 0.9359 0.8636
0.2985 0.1621 0.7344
0.3295 0.8295 0.1590
0.3379 0.2015 0.2656
0.3532 0.8532 0.5000
0.4277 0.5641 0.2656
0.4359 0.7015 0.8636
0.5641 0.2985 0.1364
0.5723 0.4359 0.7344
0.6468 0.1468 0.5000
0.6621 0.7985 0.7344
0.6705 0.1705 0.8410
0.7015 0.8379 0.2656
0.7985 0.0641 0.1364
0.8295 0.6705 0.5000
0.8379 0.5723 0.1364
0.8532 0.3532 0.5000
0.9277 0.6621 0.8636
0.9359 0.0723 0.7344
0.0000 0.0000 0.0000
0.0247 0.8816 0.5000
0.1184 0.6184 0.1431
0.1182 0.6182 0.7364
0.3818 0.1182 0.5000
0.3816 0.5247 0.5000
0.4753 0.9753 0.8569
0.5000 0.5000 0.0000
0.5247 0.0247 0.1431
0.6184 0.4753 0.5000
0.6182 0.8818 0.5000
0.8818 0.3818 0.2636
0.8816 0.3816 0.8569
0.9753 0.1184 0.5000
0.2500 0.2500 0.0000
0.7500 0.7500 0.0000
```

Peak list (10 most intense, 15 to 90 degrees two-theta, low angle first)
| Position (°2θ) | I_rel |
| --- | --- |
| 23.38 | 28 |
| 24.44 | 25 |
| 31.96 | 24 |
| 32.07 | 90 |
| 32.45 | 36 |
| 32.76 | 46 |
| 33.79 | 100 |
| 34.26 | 23 |
| 36.26 | 29 |
| 53.06 | 26 |

=====

(3)
Starting from a crystal structure in the Materials Project, relaxed with GGA-PBE, the X-ray powder pattern of Zr4Al11Si was calculated for Cu Kα (weighted mean of Kα1 and Kα2).

```
Zr4Al11Si
1.0
3.9845 0.0000 0.0000
0.0000 4.0192 0.0000
0.0000 0.0000 17.2323
Zr Al Si
4 11 1
Direct
0.0000 0.0000 0.1149
0.0000 0.0000 0.8851
0.5000 0.5000 0.3801
0.5000 0.5000 0.6199
0.0000 0.0000 0.3751
0.0000 0.0000 0.6249
0.0000 0.5000 0.0000
0.0000 0.5000 0.2497
0.0000 0.5000 0.5000
0.0000 0.5000 0.7503
0.5000 0.0000 0.2500
0.5000 0.0000 0.5000
0.5000 0.0000 0.7500
0.5000 0.5000 0.1263
0.5000 0.5000 0.8737
0.5000 0.0000 0.0000
```

Peak list (10 most intense, 15 to 90 degrees two-theta, low angle first)
| Position (°2θ) | I_rel |
| --- | --- |
| 20.62 | 17 |
| 22.72 | 16 |
| 22.91 | 16 |
| 31.62 | 12 |
| 38.05 | 100 |
| 41.94 | 18 |
| 45.12 | 16 |
| 45.53 | 15 |
| 74.03 | 11 |
| 78.53 | 11 |

=====

(4)
Starting from a crystal structure in the Materials Project, relaxed with GGA-PBE, the X-ray powder pattern of ZrAl2Si was calculated for Cu Kα (weighted mean of Kα1 and Kα2).

```
ZrAl2Si
1.0
3.9183 0.0000 0.0000
0.0000 3.9183 0.0000
0.0000 0.0000 8.6899
Zr Al Si
2 4 2
Direct
0.0000 0.0000 0.0000
0.5000 0.5000 0.5000
0.0000 0.0000 0.5000
0.0000 0.5000 0.2500
0.5000 0.0000 0.7500
0.5000 0.5000 0.0000
0.0000 0.5000 0.7500
0.5000 0.0000 0.2500
```

Peak list (10 most intense, 15 to 90 degrees two-theta, low angle first)
| Position (°2θ) | I_rel |
| --- | --- |
| 20.44 | 17 |
| 24.93 | 45 |
| 32.31 | 11 |
| 38.54 | 100 |
| 38.66 | 14 |
| 41.57 | 20 |
| 46.34 | 29 |
| 63.99 | 22 |
| 73.83 | 14 |
| 80.63 | 24 |

=====

(5)
Starting from a crystal structure in the Materials Project, relaxed with GGA-PBE, the X-ray powder pattern of Sm3Al11 was calculated for Cu Kα (weighted mean of Kα1 and Kα2).

```
Sm3Al11
1.0
-2.1632 5.0036 6.4644
2.1632 -5.0036 6.4644
2.1632 5.0036 -6.4644
Sm Al
3 11
Direct
0.0000 0.0000 0.0000
0.3174 0.3174 0.0000
0.6826 0.6826 0.0000
0.0362 0.6659 0.3703
0.1371 0.8629 0.2743
0.2848 0.5000 0.7848
0.2956 0.6659 0.6297
0.4114 0.1371 0.2743
0.5000 0.0000 0.5000
0.5886 0.8629 0.7257
0.7044 0.3341 0.3703
0.7152 0.5000 0.2152
0.8629 0.1371 0.7257
0.9638 0.3341 0.6297
```

Peak list (10 most intense, 15 to 90 degrees two-theta, low angle first)
| Position (°2θ) | I_rel |
| --- | --- |
| 17.73 | 35 |
| 22.42 | 96 |
| 29.25 | 39 |
| 33.96 | 74 |
| 34.41 | 100 |
| 35.87 | 22 |
| 41.76 | 23 |
| 50.24 | 24 |
| 54.89 | 17 |
| 55.01 | 18 |

=====

(6)
Starting from a crystal structure in the Materials Project, relaxed with GGA-PBE, the X-ray powder pattern of Sm3Al was calculated for Cu Kα (weighted mean of Kα1 and Kα2).

```
Sm3Al
1.0
4.8482 0.0000 0.0000
0.0000 4.8482 0.0000
0.0000 0.0000 4.8482
Sm Al
3 1
Direct
0.0000 0.0000 0.5000
0.0000 0.5000 0.0000
0.5000 0.0000 0.0000
0.5000 0.5000 0.5000
```

Peak list (10 most intense, 15 to 90 degrees two-theta, low angle first)
| Position (°2θ) | I_rel |
| --- | --- |
| 18.30 | 19 |
| 25.99 | 17 |
| 31.97 | 100 |
| 37.09 | 50 |
| 41.66 | 10 |
| 45.85 | 7 |
| 53.46 | 35 |
| 63.66 | 41 |
| 66.85 | 12 |
| 87.75 | 18 |

=====

(7)
Starting from a crystal structure in the Materials Project, relaxed with GGA-PBE, the X-ray powder pattern of SmAl2 was calculated for Cu Kα (weighted mean of Kα1 and Kα2).

```
SmAl2
1.0
0.0000 3.9891 3.9891
3.9891 0.0000 3.9891
3.9891 3.9891 0.0000
Sm Al
2 4
Direct
0.1250 0.1250 0.1250
0.8750 0.8750 0.8750
0.0000 0.5000 0.5000
0.5000 0.0000 0.5000
0.5000 0.5000 0.0000
0.5000 0.5000 0.5000
```

Peak list (10 most intense, 15 to 90 degrees two-theta, low angle first)
| Position (°2θ) | I_rel |
| --- | --- |
| 19.27 | 60 |
| 31.72 | 99 |
| 37.38 | 100 |
| 49.82 | 16 |
| 56.51 | 38 |
| 60.28 | 33 |
| 66.27 | 22 |
| 69.73 | 11 |
| 75.34 | 16 |
| 78.64 | 11 |

=====

(8)
Starting from a crystal structure in the Materials Project, relaxed with GGA-PBE, the X-ray powder pattern of SmAl4 was calculated for Cu Kα (weighted mean of Kα1 and Kα2).

```
SmAl4
1.0
4.2310 0.0000 0.0000
0.0000 4.2310 0.0000
0.0000 0.0000 11.4300
Sm Al
2 8
Direct
0.0000 0.0000 0.0000
0.5000 0.5000 0.5000
0.0000 0.0000 0.3900
0.0000 0.0000 0.6100
0.0000 0.5000 0.2500
0.0000 0.5000 0.7500
0.5000 0.0000 0.2500
0.5000 0.0000 0.7500
0.5000 0.5000 0.1100
0.5000 0.5000 0.8900
```

Peak list (10 most intense, 15 to 90 degrees two-theta, low angle first)
| Position (°2θ) | I_rel |
| --- | --- |
| 15.51 | 38 |
| 22.41 | 70 |
| 29.86 | 34 |
| 31.60 | 81 |
| 33.82 | 100 |
| 42.74 | 38 |
| 45.08 | 39 |
| 54.12 | 35 |
| 63.86 | 28 |
| 72.56 | 22 |